This entry pairs a crystal structure of Nd2InPd5 with its theoretical PXRD pattern. Radiation: Cu Kα, 1.54184 Å. Structure: a PBE-relaxed structure.
Kinematic intensities with the Lorentz-polarization factor, no thermal factor.

Structural model:
a b c (Å): 6.452 6.452 7.785
angles (deg): 90.00 90.00 90.00
Space group I4mm (No. 107)
Unique sites:
Nd: 0.000 0.500 0.000 (multiplicity 4)
In: 0.000 0.000 0.365 (multiplicity 2)
Pd: 0.000 0.000 0.006 (multiplicity 2)
Pd: 0.217 0.217 0.739 (multiplicity 8)

Peak list (10 most intense, 5° ≤ 2θ ≤ 70°, in order of rising 2θ)
2θ 30.18, I = 14.6; 2θ 33.11, I = 12.7; 2θ 36.16, I = 100.0; 2θ 37.35, I = 11.2; 2θ 39.50, I = 48.0; 2θ 43.66, I = 11.1; 2θ 46.67, I = 9.5; 2θ 57.10, I = 13.7; 2θ 62.75, I = 12.7; 2θ 69.48, I = 20.4